Entry 1:
Diffraction record for Pa5Sb3C. The powder diffraction line list is simulated, not measured: it uses DFT lattice parameters and positions (GGA-PBE) and Cu Kα (weighted mean of Kα1 and Kα2).
Intensities are scaled so that the largest is 100.

The 10 most intense peaks (10 to 90 degrees two-theta), by angle:
d = 2.961 Å, I = 42; d = 2.816 Å, I = 28; d = 2.658 Å, I = 100; d = 2.611 Å, I = 26; d = 2.510 Å, I = 58; d = 1.810 Å, I = 22; d = 1.710 Å, I = 19; d = 1.664 Å, I = 25; d = 1.643 Å, I = 15; d = 1.391 Å, I = 22

Cell and atoms:
a = 9.046 Å, b = 9.046 Å, c = 6.035 Å
α = 90.00°, β = 90.00°, γ = 120.00°
Atoms (fractional coordinates):
Pa 0.000 0.223 0.250
Pa 0.000 0.777 0.750
Pa 0.223 0.000 0.250
Pa 0.223 0.223 0.750
Pa 0.333 0.667 0.000
Pa 0.333 0.667 0.500
Pa 0.667 0.333 0.000
Pa 0.667 0.333 0.500
Pa 0.777 0.000 0.750
Pa 0.777 0.777 0.250
Sb 0.000 0.395 0.750
Sb 0.000 0.605 0.250
Sb 0.395 0.000 0.750
Sb 0.395 0.395 0.250
Sb 0.605 0.000 0.250
Sb 0.605 0.605 0.750
C 0.000 0.000 0.000
C 0.000 0.000 0.500



Entry 2:
Diffraction record for Ba7Mg2Ga2. The powder diffraction line list is simulated, not measured: it uses DFT lattice parameters and positions (GGA-PBE) and Cu Kα (weighted mean of Kα1 and Kα2).
Intensities are scaled so that the largest is 100.

The 10 most intense peaks (10 to 90 degrees two-theta), by angle:
d = 3.943 Å, I = 44; d = 3.768 Å, I = 48; d = 3.518 Å, I = 100; d = 3.178 Å, I = 42; d = 3.082 Å, I = 50; d = 2.926 Å, I = 39; d = 2.829 Å, I = 45; d = 2.356 Å, I = 57; d = 2.213 Å, I = 21; d = 1.600 Å, I = 21

Cell and atoms:
a = 7.507 Å, b = 7.507 Å, c = 9.520 Å
α = 90.00°, β = 90.00°, γ = 110.40°
Atoms (fractional coordinates):
Ba 0.000 0.000 0.000
Ba 0.000 0.500 0.293
Ba 0.000 0.500 0.707
Ba 0.500 0.000 0.293
Ba 0.500 0.000 0.707
Ba 0.500 0.500 0.321
Ba 0.500 0.500 0.679
Mg 0.354 0.646 0.000
Mg 0.646 0.354 0.000
Ga 0.147 0.147 0.500
Ga 0.853 0.853 0.500



Entry 3:
Diffraction record for Ho5Sb2Pt. The powder diffraction line list is simulated, not measured: it uses DFT lattice parameters and positions (GGA-PBE) and Cu Kα (weighted mean of Kα1 and Kα2).
Intensities are scaled so that the largest is 100.

The 10 most intense peaks (10 to 90 degrees two-theta), by angle:
d = 7.608 Å, I = 100; d = 5.234 Å, I = 82; d = 3.886 Å, I = 34; d = 3.096 Å, I = 41; d = 2.910 Å, I = 89; d = 2.845 Å, I = 39; d = 2.787 Å, I = 92; d = 2.671 Å, I = 47; d = 2.262 Å, I = 43; d = 2.013 Å, I = 63

Cell and atoms:
a = 8.103 Å, b = 8.103 Å, c = 13.558 Å
α = 90.00°, β = 90.00°, γ = 139.76°
Atoms (fractional coordinates):
Ho 0.075 0.925 0.616
Ho 0.075 0.925 0.884
Ho 0.280 0.720 0.250
Ho 0.299 0.701 0.561
Ho 0.299 0.701 0.939
Ho 0.701 0.299 0.061
Ho 0.701 0.299 0.439
Ho 0.720 0.280 0.750
Ho 0.925 0.075 0.116
Ho 0.925 0.075 0.384
Sb 0.127 0.873 0.096
Sb 0.127 0.873 0.404
Sb 0.873 0.127 0.596
Sb 0.873 0.127 0.904
Pt 0.208 0.792 0.750
Pt 0.792 0.208 0.250



Entry 4:
Diffraction record for K2LiSiTe4. The powder diffraction line list is simulated, not measured: it uses DFT lattice parameters and positions (GGA-PBE) and Cu Kα (weighted mean of Kα1 and Kα2).
Intensities are scaled so that the largest is 100.

The 10 most intense peaks (10 to 90 degrees two-theta), by angle:
d = 5.617 Å, I = 37; d = 3.820 Å, I = 49; d = 3.671 Å, I = 24; d = 3.514 Å, I = 100; d = 3.200 Å, I = 47; d = 3.081 Å, I = 81; d = 3.040 Å, I = 40; d = 2.523 Å, I = 22; d = 2.341 Å, I = 23; d = 1.981 Å, I = 22

Cell and atoms:
a = 14.755 Å, b = 13.176 Å, c = 7.982 Å
α = 84.66°, β = 62.76°, γ = 32.59°
Atoms (fractional coordinates):
K 0.058 0.058 0.692
K 0.308 0.308 0.942
K 0.692 0.692 0.058
K 0.942 0.942 0.308
Li 0.125 0.125 0.125
Li 0.875 0.875 0.875
Si 0.375 0.375 0.375
Si 0.625 0.625 0.625
Te 0.007 0.358 0.454
Te 0.318 0.546 0.642
Te 0.358 0.007 0.682
Te 0.454 0.682 0.007
Te 0.546 0.318 0.993
Te 0.642 0.993 0.318
Te 0.682 0.454 0.358
Te 0.993 0.642 0.546



Entry 5:
Diffraction record for Mg4P3. The powder diffraction line list is simulated, not measured: it uses DFT lattice parameters and positions (GGA-PBE) and Cu Kα (weighted mean of Kα1 and Kα2).
Intensities are scaled so that the largest is 100.

The 10 most intense peaks (10 to 90 degrees two-theta), by angle:
d = 5.453 Å, I = 29; d = 2.727 Å, I = 19; d = 2.591 Å, I = 31; d = 2.340 Å, I = 59; d = 2.330 Å, I = 100; d = 2.244 Å, I = 52; d = 2.075 Å, I = 81; d = 1.440 Å, I = 41; d = 1.412 Å, I = 22; d = 1.295 Å, I = 23

Cell and atoms:
a = 5.181 Å, b = 5.181 Å, c = 5.453 Å
α = 90.00°, β = 90.00°, γ = 120.00°
Atoms (fractional coordinates):
Mg 0.000 0.000 0.250
Mg 0.000 0.000 0.750
Mg 0.333 0.667 0.000
Mg 0.667 0.333 0.000
P 0.000 0.500 0.500
P 0.500 0.000 0.500
P 0.500 0.500 0.500



Entry 6:
Diffraction record for Pm2Cd5. The powder diffraction line list is simulated, not measured: it uses DFT lattice parameters and positions (GGA-PBE) and Cu Kα (weighted mean of Kα1 and Kα2).
Intensities are scaled so that the largest is 100.

The 10 most intense peaks (10 to 90 degrees two-theta), by angle:
d = 3.038 Å, I = 28; d = 2.642 Å, I = 22; d = 2.553 Å, I = 92; d = 2.511 Å, I = 100; d = 2.463 Å, I = 98; d = 1.715 Å, I = 21; d = 1.632 Å, I = 22; d = 1.476 Å, I = 20; d = 1.446 Å, I = 20; d = 1.424 Å, I = 28

Cell and atoms:
a = 8.684 Å, b = 8.684 Å, c = 8.684 Å
α = 129.75°, β = 70.88°, γ = 133.47°
Atoms (fractional coordinates):
Pm 0.105 0.194 0.299
Pm 0.395 0.694 0.089
Pm 0.605 0.306 0.911
Pm 0.895 0.806 0.701
Cd 0.018 0.750 0.268
Cd 0.124 0.759 0.884
Cd 0.250 0.750 0.500
Cd 0.376 0.259 0.635
Cd 0.482 0.750 0.732
Cd 0.518 0.250 0.268
Cd 0.624 0.741 0.365
Cd 0.750 0.250 0.500
Cd 0.876 0.241 0.116
Cd 0.982 0.250 0.732